[1]
Theoretical powder X-ray diffraction pattern
Compound: ZnGeTe
Radiation: Cu Kα X-rays
Structure: a GGA-PBE-relaxed structure

The 12 most intense peaks (2θ from 10° to 90°), most intense first:
Position (°2θ)	d [Å]	I/Imax
31.5	2.843	100
30.1	2.970	36
45.9	1.977	22
23.1	3.850	19
44.3	2.045	17
46.1	1.970	15
42.0	2.149	12
41.9	2.157	12
46.2	1.965	12
65.7	1.422	10
47.2	1.925	9
31.7	2.826	9

Cell and atoms:
Cell lengths 3.9548, 4.3223, 4.7741 Å; angles 89.02, 89.90, 62.99 degrees
Sites, in units of the cell vectors:
Zn1 0.0000 0.0000 0.0000
Ge1 0.7094 0.5806 0.7507
Te1 0.2785 0.4400 0.3518


[2]
Theoretical powder X-ray diffraction pattern
Compound: ZrGe2Te4
Radiation: Cu Kα X-rays
Structure: a GGA-PBE-relaxed structure

The 12 most intense peaks (2θ from 10° to 90°), most intense first:
Position (°2θ)	d [Å]	I/Imax
27.7	3.225	100
33.1	2.707	53
43.4	2.087	46
48.4	1.882	45
31.5	2.839	45
24.3	3.666	32
44.9	2.020	27
73.5	1.289	26
60.8	1.523	22
16.4	5.414	17
15.6	5.677	14
60.1	1.540	14

Cell and atoms:
Cell lengths 6.7579, 6.7579, 6.7579 Å; angles 107.11, 107.11, 114.30 degrees
Sites, in units of the cell vectors:
Zr1 0.0000 0.0000 0.0000
Ge1 0.2500 0.7500 0.5000
Ge2 0.7500 0.2500 0.5000
Te1 0.1890 0.3071 0.4962
Te2 0.3071 0.8110 0.1181
Te3 0.6929 0.1890 0.8819
Te4 0.8110 0.6929 0.5038


[3]
Theoretical powder X-ray diffraction pattern
Compound: Zr4GeTe4
Radiation: Cu Kα X-rays
Structure: a GGA-PBE-relaxed structure

The 12 most intense peaks (2θ from 10° to 90°), most intense first:
Position (°2θ)	d [Å]	I/Imax
31.1	2.879	100
31.2	2.869	49
44.6	2.030	34
44.5	2.035	34
45.4	1.998	18
56.1	1.640	18
43.6	2.076	17
73.7	1.285	13
83.3	1.160	11
64.8	1.439	10
54.5	1.685	9
54.7	1.679	8

Cell and atoms:
Cell lengths 7.1514, 7.1514, 10.0745 Å; angles 119.24, 119.24, 32.44 degrees
Sites, in units of the cell vectors:
Zr1 0.0841 0.0841 0.4137
Zr2 0.3181 0.3181 0.2261
Zr3 0.6819 0.6819 0.7739
Zr4 0.9159 0.9159 0.5863
Ge1 0.5000 0.5000 0.5000
Te1 0.1022 0.1022 0.9092
Te2 0.3083 0.3083 0.7018
Te3 0.6917 0.6917 0.2982
Te4 0.8978 0.8978 0.0908